This entry pairs a crystal structure of Li2WO4 with its theoretical X-ray powder pattern. Radiation: CuKα. Structure: the PBE+U geometry in Alexandria.
Intensities are scaled so that the largest is 100.

Structure:
```
Li2WO4
1.0
7.331 4.232 3.250
-7.331 4.232 3.250
0.000 -8.465 3.250
Li W O
12 6 24
Cartesian
-1.239 -5.751 4.077
-5.601 -1.802 5.672
-1.679 -2.443 4.032
-4.361 3.949 4.077
-2.955 0.232 5.717
-1.276 2.676 4.032
1.276 -2.675 5.717
2.955 -0.232 4.032
4.361 -3.949 5.672
1.679 2.443 5.717
5.601 1.802 4.077
1.239 5.751 5.672
-3.004 0.237 2.443
1.297 -2.720 2.443
1.707 2.483 2.443
-1.707 -2.483 7.307
-1.297 2.720 7.307
3.004 -0.237 7.307
-7.065 1.506 4.189
-4.837 -5.366 5.560
-2.238 -1.409 2.430
-2.523 -4.243 4.040
-4.936 0.063 5.710
-2.477 1.101 3.953
2.228 -6.872 4.189
0.285 -2.695 3.953
-0.101 2.642 2.430
2.339 -1.234 2.430
-2.191 -1.595 5.797
-2.413 4.307 4.040
2.413 -4.307 5.710
2.191 1.595 3.953
-2.339 1.234 7.319
0.101 -2.642 7.319
-0.285 2.695 5.797
-2.228 6.872 5.560
2.477 -1.101 5.797
4.936 -0.064 4.040
2.523 4.243 5.710
2.238 1.409 7.319
4.837 5.366 4.189
7.065 -1.506 5.560
```

The 10 most intense peaks (2θ from 10° to 90°), in order of falling intensity:
20.63 deg, rel. 100; 19.51 deg, rel. 31; 32.31 deg, rel. 26; 30.08 deg, rel. 23; 26.06 deg, rel. 21; 24.28 deg, rel. 17; 26.92 deg, rel. 16; 40.04 deg, rel. 14; 36.97 deg, rel. 14; 46.50 deg, rel. 14